Diffraction record for ZnBi2B2O7. The powder X-ray diffraction pattern is simulated, not measured: it uses the PBE geometry in the Materials Project and λ = 1.5418 Å (Cu Kα).

Cell lengths 10.958, 11.127, 4.953 Å; angles 90.00, 90.00, 90.00 degrees
Element x y z (fractional)
Zn: 0.241 0.240 0.000
Zn: 0.259 0.740 0.000
Zn: 0.741 0.260 0.000
Zn: 0.759 0.760 0.000
Bi: 0.015 0.313 0.508
Bi: 0.180 0.967 0.512
Bi: 0.320 0.467 0.512
Bi: 0.485 0.813 0.508
Bi: 0.515 0.187 0.508
Bi: 0.680 0.533 0.512
Bi: 0.820 0.033 0.512
Bi: 0.985 0.687 0.508
B: 0.014 0.873 0.055
B: 0.115 0.520 0.011
B: 0.385 0.020 0.011
B: 0.486 0.373 0.055
B: 0.514 0.627 0.055
B: 0.615 0.980 0.011
B: 0.885 0.480 0.011
B: 0.986 0.127 0.055
O: 0.000 0.000 0.146
O: 0.000 0.500 0.887
O: 0.021 0.860 0.759
O: 0.087 0.200 0.178
O: 0.129 0.827 0.197
O: 0.135 0.478 0.266
O: 0.196 0.585 0.860
O: 0.200 0.326 0.668
O: 0.300 0.826 0.668
O: 0.304 0.085 0.860
O: 0.365 0.978 0.266
O: 0.371 0.327 0.197
O: 0.413 0.700 0.178
O: 0.479 0.360 0.759
O: 0.500 0.000 0.887
O: 0.500 0.500 0.146
O: 0.521 0.640 0.759
O: 0.587 0.300 0.178
O: 0.629 0.673 0.197
O: 0.635 0.022 0.266
O: 0.696 0.915 0.860
O: 0.700 0.174 0.668
O: 0.800 0.674 0.668
O: 0.804 0.415 0.860
O: 0.865 0.522 0.266
O: 0.871 0.173 0.197
O: 0.913 0.800 0.178
O: 0.979 0.140 0.759

Main lines, in order of rising 2θ (10° ≤ 2θ ≤ 80°):
- 2θ = 17.90°, intensity 64.5, (0 0 1)
- 2θ = 22.78°, intensity 24.7, (2 2 0)
- 2θ = 25.37°, intensity 38.3, (1 3 0)
- 2θ = 25.67°, intensity 27.7, (3 1 0)
- 2θ = 29.12°, intensity 100.0, (2 2 1)
- 2θ = 31.21°, intensity 57.2, (1 3 1)
- 2θ = 31.48°, intensity 53.7, (3 1 1)
- 2θ = 36.26°, intensity 27.3, (0 0 2)
- 2θ = 44.78°, intensity 22.7, (1 3 2)
- 2θ = 44.97°, intensity 23.1, (3 1 2)

=====

Diffraction record for CsZnPO4. The powder X-ray diffraction pattern is simulated, not measured: it uses the PBE geometry in the Materials Project and λ = 1.5418 Å (Cu Kα).

Cell lengths 9.195, 5.587, 9.770 Å; angles 90.00, 90.00, 90.00 degrees
Element x y z (fractional)
Cs: 0.012 0.250 0.191
Cs: 0.488 0.750 0.691
Cs: 0.512 0.250 0.309
Cs: 0.988 0.750 0.809
Zn: 0.162 0.750 0.404
Zn: 0.338 0.250 0.904
Zn: 0.662 0.750 0.096
Zn: 0.838 0.250 0.596
P: 0.213 0.250 0.573
P: 0.287 0.750 0.073
P: 0.713 0.250 0.927
P: 0.787 0.750 0.427
O: 0.049 0.250 0.605
O: 0.196 0.750 0.205
O: 0.242 0.525 0.988
O: 0.242 0.975 0.988
O: 0.258 0.025 0.488
O: 0.258 0.475 0.488
O: 0.304 0.250 0.705
O: 0.451 0.750 0.105
O: 0.549 0.250 0.895
O: 0.696 0.750 0.295
O: 0.742 0.525 0.512
O: 0.742 0.975 0.512
O: 0.758 0.025 0.012
O: 0.758 0.475 0.012
O: 0.804 0.250 0.795
O: 0.951 0.750 0.395

Main lines, in order of rising 2θ (10° ≤ 2θ ≤ 80°):
- 2θ = 26.10°, intensity 62.8, (1 1 2)
- 2θ = 26.69°, intensity 100.0, (2 1 1)
- 2θ = 29.09°, intensity 13.0, (1 0 3)
- 2θ = 30.57°, intensity 11.6, (3 0 1)
- 2θ = 31.81°, intensity 23.8, (0 1 3)
- 2θ = 32.04°, intensity 25.0, (0 2 0)
- 2θ = 43.56°, intensity 13.7, (4 1 1)
- 2θ = 47.57°, intensity 10.5, (1 0 5)
- 2θ = 50.49°, intensity 20.8, (3 1 4)
- 2θ = 58.52°, intensity 11.3, (1 2 5)